[1]
This entry pairs a crystal structure of Na4Sc3RuO8 with its theoretical X-ray diffraction stick pattern. Radiation: copper Kα. Structure: a DFT-relaxed cell (PBE, Alexandria).

Structural model:
```
data_Na4Sc3RuO8
_chemical_formula_sum 'Na4 Sc3 Ru1 O8'
_cell_length_a 6.5791
_cell_length_b 6.5791
_cell_length_c 6.5791
_cell_angle_alpha 57.08
_cell_angle_beta 57.08
_cell_angle_gamma 57.08
_symmetry_space_group_name_H-M 'P 1'
_symmetry_Int_Tables_number 1
_symmetry_space_group_name_Hall 'P 1'
loop_
_atom_site_label
_atom_site_fract_x
_atom_site_fract_y
_atom_site_fract_z
Na1 0.0000 0.0000 0.0000
Na2 0.0000 0.5000 0.5000
Na3 0.5000 0.0000 0.5000
Na4 0.5000 0.5000 0.0000
Sc1 0.0000 0.0000 0.5000
Sc2 0.0000 0.5000 0.0000
Sc3 0.5000 0.0000 0.0000
Ru1 0.5000 0.5000 0.5000
O1 0.2342 0.2342 0.2342
O2 0.2365 0.7361 0.7361
O3 0.2639 0.2639 0.7635
O4 0.2639 0.7635 0.2639
O5 0.7361 0.2365 0.7361
O6 0.7361 0.7361 0.2365
O7 0.7635 0.2639 0.2639
O8 0.7658 0.7658 0.7658
```

Largest 10 diffraction maxima, low angle first, 2θ = 15–90°:
d [Å], intensity
5.487, 54
5.169, 13
4.541, 10
2.744, 13
2.686, 13
2.585, 29
2.270, 100
1.642, 29
1.572, 28
1.292, 13

[2]
This entry pairs a crystal structure of Dy4PdSe5 with its theoretical X-ray diffraction stick pattern. Radiation: copper Kα. Structure: a DFT-relaxed cell (PBE, Alexandria).

Structural model:
```
data_Dy4PdSe5
_chemical_formula_sum 'Dy4 Pd1 Se5'
_cell_length_a 9.1460
_cell_length_b 9.1460
_cell_length_c 8.4023
_cell_angle_alpha 105.89
_cell_angle_beta 105.89
_cell_angle_gamma 25.84
_symmetry_space_group_name_H-M 'P 1'
_symmetry_Int_Tables_number 1
_symmetry_space_group_name_Hall 'P 1'
loop_
_atom_site_label
_atom_site_fract_x
_atom_site_fract_y
_atom_site_fract_z
Dy1 0.0035 0.0035 0.2635
Dy2 0.3206 0.3206 0.8808
Dy3 0.6794 0.6794 0.1192
Dy4 0.9965 0.9965 0.7365
Pd1 0.5000 0.5000 0.0000
Se1 0.1607 0.1607 0.8654
Se2 0.1631 0.1631 0.3329
Se3 0.5000 0.5000 0.5000
Se4 0.8369 0.8369 0.6671
Se5 0.8393 0.8393 0.1346
```

Largest 10 diffraction maxima, low angle first, 2θ = 15–90°:
d [Å], intensity
5.186, 21
3.664, 14
2.929, 100
2.852, 46
2.799, 12
2.098, 19
2.078, 38
2.045, 19
2.011, 29
1.662, 18

[3]
This entry pairs a crystal structure of Mg13Al2 with its theoretical X-ray diffraction stick pattern. Radiation: copper Kα. Structure: a DFT-relaxed cell (PBE, Alexandria).

Structural model:
```
data_Mg13Al2
_chemical_formula_sum 'Mg13 Al2'
_cell_length_a 8.7721
_cell_length_b 8.7721
_cell_length_c 8.7721
_cell_angle_alpha 55.67
_cell_angle_beta 55.67
_cell_angle_gamma 55.67
_symmetry_space_group_name_H-M 'P 1'
_symmetry_Int_Tables_number 1
_symmetry_space_group_name_Hall 'P 1'
loop_
_atom_site_label
_atom_site_fract_x
_atom_site_fract_y
_atom_site_fract_z
Mg1 0.0000 0.0000 0.0000
Mg2 0.0197 0.0197 0.6385
Mg3 0.0197 0.6385 0.0197
Mg4 0.2337 0.2337 0.5961
Mg5 0.2337 0.5961 0.2337
Mg6 0.3615 0.9803 0.9803
Mg7 0.4039 0.7663 0.7663
Mg8 0.5961 0.2337 0.2337
Mg9 0.6385 0.0197 0.0197
Mg10 0.7663 0.4039 0.7663
Mg11 0.7663 0.7663 0.4039
Mg12 0.9803 0.3615 0.9803
Mg13 0.9803 0.9803 0.3615
Al1 0.2262 0.2262 0.2262
Al2 0.7738 0.7738 0.7738
```

Largest 10 diffraction maxima, low angle first, 2θ = 15–90°:
d [Å], intensity
3.502, 41
2.891, 22
2.662, 44
2.581, 31
2.463, 27
2.414, 100
2.294, 60
2.252, 41
2.183, 22
1.456, 22

[4]
This entry pairs a crystal structure of La21Mn8Sb7C12 with its theoretical X-ray diffraction stick pattern. Radiation: copper Kα. Structure: a DFT-relaxed cell (PBE, Alexandria).

Structural model:
```
data_La21Mn8Sb7C12
_chemical_formula_sum 'La21 Mn8 Sb7 C12'
_cell_length_a 11.6442
_cell_length_b 11.6442
_cell_length_c 11.6442
_cell_angle_alpha 60.00
_cell_angle_beta 60.00
_cell_angle_gamma 60.00
_symmetry_space_group_name_H-M 'P 1'
_symmetry_Int_Tables_number 1
_symmetry_space_group_name_Hall 'P 1'
loop_
_atom_site_label
_atom_site_fract_x
_atom_site_fract_y
_atom_site_fract_z
La1 0.0000 0.0000 0.0000
La2 0.1349 0.1349 0.1349
La3 0.1349 0.1349 0.5953
La4 0.1349 0.5953 0.1349
La5 0.1597 0.5000 0.5000
La6 0.1597 0.5000 0.8403
La7 0.1597 0.8403 0.5000
La8 0.4047 0.8651 0.8651
La9 0.5000 0.1597 0.5000
La10 0.5000 0.1597 0.8403
La11 0.5000 0.5000 0.1597
La12 0.5000 0.5000 0.8403
La13 0.5000 0.8403 0.1597
La14 0.5000 0.8403 0.5000
La15 0.5953 0.1349 0.1349
La16 0.8403 0.1597 0.5000
La17 0.8403 0.5000 0.1597
La18 0.8403 0.5000 0.5000
La19 0.8651 0.4047 0.8651
La20 0.8651 0.8651 0.4047
La21 0.8651 0.8651 0.8651
Mn1 0.0930 0.3023 0.3023
Mn2 0.3023 0.0930 0.3023
Mn3 0.3023 0.3023 0.0930
Mn4 0.3023 0.3023 0.3023
Mn5 0.6977 0.6977 0.6977
Mn6 0.6977 0.6977 0.9070
Mn7 0.6977 0.9070 0.6977
Mn8 0.9070 0.6977 0.6977
Sb1 0.2095 0.2095 0.7905
Sb2 0.2095 0.7905 0.2095
Sb3 0.2095 0.7905 0.7905
Sb4 0.5000 0.5000 0.5000
Sb5 0.7905 0.2095 0.2095
Sb6 0.7905 0.2095 0.7905
Sb7 0.7905 0.7905 0.2095
C1 0.1066 0.1066 0.3934
C2 0.1066 0.3934 0.1066
C3 0.1066 0.3934 0.3934
C4 0.3934 0.1066 0.1066
C5 0.3934 0.1066 0.3934
C6 0.3934 0.3934 0.1066
C7 0.6066 0.6066 0.8934
C8 0.6066 0.8934 0.6066
C9 0.6066 0.8934 0.8934
C10 0.8934 0.6066 0.6066
C11 0.8934 0.6066 0.8934
C12 0.8934 0.8934 0.6066
```

Largest 10 diffraction maxima, low angle first, 2θ = 15–90°:
d [Å], intensity
3.169, 100
2.911, 37
2.783, 61
2.745, 74
2.144, 26
1.941, 33
1.681, 19
1.655, 19
1.439, 15
1.259, 16